(1)
This entry pairs a crystal structure of SnF4 with its computed powder diffractogram. Radiation: CuKα. Structure: DFT lattice parameters and positions (GGA-PBE).
Lines closer than 0.1° are merged.

Most intense lines, 2θ = 5–70°, in order of rising 2θ:
- 2θ = 16.52°, I = 100
- 2θ = 24.98°, I = 60
- 2θ = 29.52°, I = 19
- 2θ = 29.65°, I = 19
- 2θ = 30.60°, I = 37
- 2θ = 48.29°, I = 13
- 2θ = 49.47°, I = 11
- 2θ = 51.25°, I = 21

Structural model:
a b c (Å): 5.045 5.046 6.333
angles (deg): 69.13 66.76 89.92
Fractional positions:
1 Sn 0.000 0.000 0.000
2 Sn 0.497 0.500 0.001
3 F 0.135 0.119 0.225
4 F 0.138 0.619 0.223
5 F 0.341 0.359 0.783
6 F 0.377 0.860 0.783
7 F 0.632 0.143 0.217
8 F 0.648 0.645 0.216
9 F 0.851 0.384 0.774
10 F 0.876 0.884 0.773


(2)
This entry pairs a crystal structure of Sc6Si7Ni16 with its computed powder diffractogram. Radiation: CuKα. Structure: DFT lattice parameters and positions (GGA-PBE).
Lines closer than 0.1° are merged.

Most intense lines, 2θ = 5–70°, in order of rising 2θ:
- 2θ = 13.44°, I = 15
- 2θ = 15.54°, I = 20
- 2θ = 31.37°, I = 16
- 2θ = 41.12°, I = 80
- 2θ = 44.95°, I = 100
- 2θ = 47.13°, I = 37
- 2θ = 52.61°, I = 19
- 2θ = 69.98°, I = 14

Structural model:
a b c (Å): 8.066 8.066 8.066
angles (deg): 60.00 60.00 60.00
Fractional positions:
1 Sc 0.206 0.206 0.794
2 Sc 0.206 0.794 0.206
3 Sc 0.206 0.794 0.794
4 Sc 0.794 0.206 0.206
5 Sc 0.794 0.206 0.794
6 Sc 0.794 0.794 0.206
7 Si 0.000 0.000 0.500
8 Si 0.000 0.500 0.000
9 Si 0.000 0.500 0.500
10 Si 0.500 0.000 0.000
11 Si 0.500 0.000 0.500
12 Si 0.500 0.500 0.000
13 Si 0.500 0.500 0.500
14 Ni 0.143 0.619 0.619
15 Ni 0.169 0.169 0.169
16 Ni 0.169 0.169 0.494
17 Ni 0.169 0.494 0.169
18 Ni 0.381 0.381 0.381
19 Ni 0.381 0.381 0.857
20 Ni 0.381 0.857 0.381
21 Ni 0.494 0.169 0.169
22 Ni 0.506 0.831 0.831
23 Ni 0.619 0.143 0.619
24 Ni 0.619 0.619 0.143
25 Ni 0.619 0.619 0.619
26 Ni 0.831 0.506 0.831
27 Ni 0.831 0.831 0.506
28 Ni 0.831 0.831 0.831
29 Ni 0.857 0.381 0.381


(3)
This entry pairs a crystal structure of In4Au9 with its computed powder diffractogram. Radiation: CuKα. Structure: DFT lattice parameters and positions (GGA-PBE).
Lines closer than 0.1° are merged.

Most intense lines, 2θ = 5–70°, in order of rising 2θ:
- 2θ = 21.60°, I = 3
- 2θ = 30.73°, I = 4
- 2θ = 37.88°, I = 100
- 2θ = 42.05°, I = 4
- 2θ = 54.64°, I = 12
- 2θ = 64.01°, I = 6
- 2θ = 65.49°, I = 3
- 2θ = 68.41°, I = 22

Structural model:
a b c (Å): 10.078 10.078 10.078
angles (deg): 90.00 90.00 90.00
Fractional positions:
1 In 0.038 0.309 0.309
2 In 0.038 0.691 0.691
3 In 0.309 0.038 0.309
4 In 0.309 0.309 0.038
5 In 0.309 0.691 0.962
6 In 0.309 0.962 0.691
7 In 0.377 0.377 0.623
8 In 0.377 0.623 0.377
9 In 0.623 0.377 0.377
10 In 0.623 0.623 0.623
11 In 0.691 0.038 0.691
12 In 0.691 0.309 0.962
13 In 0.691 0.691 0.038
14 In 0.691 0.962 0.309
15 In 0.962 0.309 0.691
16 In 0.962 0.691 0.309
17 Au 0.000 0.000 0.361
18 Au 0.000 0.000 0.639
19 Au 0.000 0.361 0.000
20 Au 0.000 0.639 0.000
21 Au 0.108 0.108 0.108
22 Au 0.108 0.892 0.892
23 Au 0.139 0.500 0.500
24 Au 0.175 0.175 0.825
25 Au 0.175 0.825 0.175
26 Au 0.185 0.185 0.534
27 Au 0.185 0.466 0.815
28 Au 0.185 0.534 0.185
29 Au 0.185 0.815 0.466
30 Au 0.333 0.333 0.333
31 Au 0.333 0.667 0.667
32 Au 0.361 0.000 0.000
33 Au 0.466 0.185 0.815
34 Au 0.466 0.815 0.185
35 Au 0.500 0.139 0.500
36 Au 0.500 0.500 0.139
37 Au 0.500 0.500 0.861
38 Au 0.500 0.861 0.500
39 Au 0.534 0.185 0.185
40 Au 0.534 0.815 0.815
41 Au 0.639 0.000 0.000
42 Au 0.667 0.333 0.667
43 Au 0.667 0.667 0.333
44 Au 0.815 0.185 0.466
45 Au 0.815 0.466 0.185
46 Au 0.815 0.534 0.815
47 Au 0.815 0.815 0.534
48 Au 0.825 0.175 0.175
49 Au 0.825 0.825 0.825
50 Au 0.861 0.500 0.500
51 Au 0.892 0.108 0.892
52 Au 0.892 0.892 0.108


(4)
This entry pairs a crystal structure of HfTeS with its computed powder diffractogram. Radiation: CuKα. Structure: DFT lattice parameters and positions (GGA-PBE).
Lines closer than 0.1° are merged.

Most intense lines, 2θ = 5–70°, in order of rising 2θ:
- 2θ = 13.49°, I = 67
- 2θ = 26.96°, I = 19
- 2θ = 30.26°, I = 100
- 2θ = 38.65°, I = 64
- 2θ = 47.62°, I = 29
- 2θ = 49.72°, I = 15
- 2θ = 49.98°, I = 19
- 2θ = 57.46°, I = 16

Structural model:
a b c (Å): 3.819 3.819 6.564
angles (deg): 90.00 90.00 120.00
Fractional positions:
1 Hf 0.000 0.000 0.000
2 Te 0.667 0.333 0.286
3 S 0.333 0.667 0.804


(5)
This entry pairs a crystal structure of ZnP2 with its computed powder diffractogram. Radiation: CuKα. Structure: DFT lattice parameters and positions (GGA-PBE).
Lines closer than 0.1° are merged.

Most intense lines, 2θ = 5–70°, in order of rising 2θ:
- 2θ = 25.91°, I = 98
- 2θ = 26.50°, I = 100
- 2θ = 31.37°, I = 31
- 2θ = 40.72°, I = 41
- 2θ = 46.42°, I = 21
- 2θ = 49.58°, I = 51
- 2θ = 57.09°, I = 21
- 2θ = 57.71°, I = 27

Structural model:
a b c (Å): 5.102 5.102 18.627
angles (deg): 90.00 90.00 90.00
Fractional positions:
1 Zn 0.136 0.346 0.301
2 Zn 0.154 0.636 0.551
3 Zn 0.346 0.136 0.699
4 Zn 0.364 0.846 0.949
5 Zn 0.636 0.154 0.449
6 Zn 0.654 0.864 0.199
7 Zn 0.846 0.364 0.051
8 Zn 0.864 0.654 0.801
9 P 0.010 0.019 0.126
10 P 0.019 0.010 0.874
11 P 0.182 0.699 0.060
12 P 0.199 0.318 0.810
13 P 0.301 0.818 0.440
14 P 0.318 0.199 0.190
15 P 0.481 0.510 0.376
16 P 0.490 0.519 0.124
17 P 0.510 0.481 0.624
18 P 0.519 0.490 0.876
19 P 0.682 0.801 0.690
20 P 0.699 0.182 0.940
21 P 0.801 0.682 0.310
22 P 0.818 0.301 0.560
23 P 0.981 0.990 0.374
24 P 0.990 0.981 0.626


(6)
This entry pairs a crystal structure of Tl2Pd3Se2 with its computed powder diffractogram. Radiation: CuKα. Structure: DFT lattice parameters and positions (GGA-PBE).
Lines closer than 0.1° are merged.

Most intense lines, 2θ = 5–70°, in order of rising 2θ:
- 2θ = 17.22°, I = 26
- 2θ = 29.00°, I = 63
- 2θ = 30.34°, I = 73
- 2θ = 34.85°, I = 39
- 2θ = 35.67°, I = 30
- 2θ = 37.11°, I = 71
- 2θ = 42.47°, I = 100
- 2θ = 63.12°, I = 35

Structural model:
a b c (Å): 6.171 6.171 6.171
angles (deg): 57.03 57.03 57.03
Fractional positions:
1 Tl 0.000 0.000 0.000
2 Tl 0.500 0.500 0.500
3 Pd 0.000 0.500 0.500
4 Pd 0.500 0.000 0.500
5 Pd 0.500 0.500 0.000
6 Se 0.216 0.216 0.216
7 Se 0.784 0.784 0.784


(7)
This entry pairs a crystal structure of Sc6Ga16Ir7 with its computed powder diffractogram. Radiation: CuKα. Structure: DFT lattice parameters and positions (GGA-PBE).
Lines closer than 0.1° are merged.

Most intense lines, 2θ = 5–70°, in order of rising 2θ:
- 2θ = 12.26°, I = 13
- 2θ = 14.17°, I = 11
- 2θ = 24.67°, I = 47
- 2θ = 37.38°, I = 11
- 2θ = 40.84°, I = 100
- 2θ = 42.80°, I = 12
- 2θ = 48.29°, I = 35
- 2θ = 59.12°, I = 12

Structural model:
a b c (Å): 8.839 8.839 8.839
angles (deg): 60.00 60.00 60.00
Fractional positions:
1 Sc 0.212 0.212 0.788
2 Sc 0.212 0.788 0.212
3 Sc 0.212 0.788 0.788
4 Sc 0.788 0.212 0.212
5 Sc 0.788 0.212 0.788
6 Sc 0.788 0.788 0.212
7 Ga 0.134 0.622 0.622
8 Ga 0.158 0.158 0.158
9 Ga 0.158 0.158 0.527
10 Ga 0.158 0.527 0.158
11 Ga 0.378 0.378 0.378
12 Ga 0.378 0.378 0.866
13 Ga 0.378 0.866 0.378
14 Ga 0.473 0.842 0.842
15 Ga 0.527 0.158 0.158
16 Ga 0.622 0.134 0.622
17 Ga 0.622 0.622 0.134
18 Ga 0.622 0.622 0.622
19 Ga 0.842 0.473 0.842
20 Ga 0.842 0.842 0.473
21 Ga 0.842 0.842 0.842
22 Ga 0.866 0.378 0.378
23 Ir 0.000 0.000 0.500
24 Ir 0.000 0.500 0.000
25 Ir 0.000 0.500 0.500
26 Ir 0.500 0.000 0.000
27 Ir 0.500 0.000 0.500
28 Ir 0.500 0.500 0.000
29 Ir 0.500 0.500 0.500